[1]
Structure and theoretical powder XRD pattern of Na2FeO3 (the GGA+U geometry in the Materials Project; Cu Kα (weighted mean of Kα1 and Kα2)).
Lines closer than 0.1° are merged.

Principal peaks in the range 2θ = 10–90°, by angle:
5.437 Å, 16.30 deg, intensity 61
4.456 Å, 19.93 deg, intensity 16
2.719 Å, 32.95 deg, intensity 18
2.559 Å, 35.06 deg, intensity 27
2.537 Å, 35.38 deg, intensity 13
2.261 Å, 39.87 deg, intensity 52
2.235 Å, 40.36 deg, intensity 100
1.631 Å, 56.40 deg, intensity 29
1.610 Å, 57.21 deg, intensity 15
1.551 Å, 59.60 deg, intensity 38

```
24
Lattice="5.371 0.000 0.000 0.000 9.313 0.000 -1.887 0.000 5.437" Properties=species:S:1:pos:R:3 pbc="T T T"
Na 0.000 0.000 0.000
Na -0.944 1.447 2.719
Na 0.000 2.953 0.000
Na 0.000 6.104 0.000
Na 2.686 1.464 0.000
Na 2.686 4.602 0.000
Na 1.742 6.114 2.719
Na 2.686 7.561 0.000
Fe -0.944 4.556 2.719
Fe -0.944 7.670 2.719
Fe 1.742 3.015 2.719
Fe 1.742 9.214 2.719
O -0.306 6.032 3.830
O 0.677 7.857 1.609
O -0.007 3.236 3.805
O 0.817 4.326 1.618
O 0.116 9.021 3.835
O 1.103 1.532 1.607
O 2.380 1.532 3.831
O 3.367 9.021 1.603
O 2.666 4.326 3.819
O 3.491 3.236 1.633
O 2.807 7.857 3.829
O 3.789 6.032 1.607
```


[2]
Structure and theoretical powder XRD pattern of LiFeO3 (the GGA+U geometry in the Materials Project; Cu Kα (weighted mean of Kα1 and Kα2)).
Lines closer than 0.1° are merged.

Principal peaks in the range 2θ = 10–90°, by angle:
4.890 Å, 18.14 deg, intensity 100
4.279 Å, 20.76 deg, intensity 20
4.151 Å, 21.40 deg, intensity 40
3.765 Å, 23.63 deg, intensity 24
3.220 Å, 27.70 deg, intensity 22
2.494 Å, 36.01 deg, intensity 12
2.446 Å, 36.75 deg, intensity 28
2.096 Å, 43.16 deg, intensity 23
2.048 Å, 44.22 deg, intensity 44
1.481 Å, 62.73 deg, intensity 13

```
60
Lattice="7.572 -4.279 0.000 7.572 4.279 0.000 -1.511 0.000 9.779" Properties=species:S:1:pos:R:3 pbc="T T T"
Li 0.000 0.000 0.000
Li -0.515 0.000 5.938
Li 1.882 0.000 4.857
Li 3.122 0.000 0.796
Li 5.853 1.366 0.606
Li 4.516 0.000 5.963
Li 6.913 0.000 4.830
Li 5.853 -1.366 0.606
Li 8.702 0.000 0.455
Li 9.552 0.000 5.950
Li 11.790 0.000 1.251
Li 11.974 0.000 4.871
Fe 4.293 1.446 3.103
Fe 6.826 2.843 3.080
Fe 6.011 1.448 7.976
Fe 8.545 2.822 8.011
Fe 9.330 1.456 3.073
Fe 4.293 -1.446 3.103
Fe 11.045 1.441 7.992
Fe 6.011 -1.448 7.976
Fe 6.826 -2.843 3.080
Fe 9.330 -1.456 3.073
Fe 8.545 -2.822 8.011
Fe 11.045 -1.441 7.992
O -0.183 0.000 2.008
O 2.721 1.584 2.064
O 5.227 2.678 2.025
O 2.565 1.579 9.065
O 5.069 2.688 9.058
O 0.356 0.000 9.074
O 1.456 0.000 6.861
O 4.437 1.625 6.954
O 6.969 2.666 6.961
O 5.877 1.580 4.126
O 8.396 2.705 4.128
O 3.709 0.000 4.190
O 4.838 0.000 1.940
O 7.740 1.590 2.033
O 2.721 -1.584 2.064
O 7.578 1.577 9.027
O 2.565 -1.579 9.065
O 5.448 0.000 9.136
O 6.489 0.000 6.831
O 9.487 1.622 6.957
O 4.437 -1.625 6.954
O 10.920 1.571 4.127
O 5.877 -1.580 4.126
O 8.744 0.000 4.164
O 9.930 0.000 1.999
O 5.227 -2.678 2.025
O 7.740 -1.590 2.033
O 5.069 -2.688 9.058
O 7.578 -1.577 9.027
O 10.471 0.000 9.060
O 11.551 0.000 6.845
O 6.969 -2.666 6.961
O 9.487 -1.622 6.957
O 8.396 -2.705 4.128
O 10.920 -1.571 4.127
O 13.783 0.000 4.173
```


[3]
Structure and theoretical powder XRD pattern of VCdClO3 (the GGA+U geometry in the Materials Project; Cu Kα (weighted mean of Kα1 and Kα2)).
Lines closer than 0.1° are merged.

Principal peaks in the range 2θ = 10–90°, by angle:
5.282 Å, 16.79 deg, intensity 29
4.258 Å, 20.86 deg, intensity 100
3.363 Å, 26.51 deg, intensity 38
3.208 Å, 27.81 deg, intensity 48
3.031 Å, 29.47 deg, intensity 43
2.724 Å, 32.88 deg, intensity 26
2.296 Å, 39.25 deg, intensity 39
1.974 Å, 45.98 deg, intensity 24
1.881 Å, 48.38 deg, intensity 17
1.851 Å, 49.23 deg, intensity 18

```
24
Lattice="16.096 0.000 0.000 0.000 3.701 0.000 0.000 0.000 7.000" Properties=species:S:1:pos:R:3 pbc="T T T"
V 0.057 0.925 1.265
V 7.992 2.776 4.765
V 8.105 0.925 2.235
V 16.040 2.776 5.734
Cd 2.705 2.776 2.966
Cd 5.343 0.925 6.465
Cd 10.753 2.776 0.534
Cd 13.391 0.925 4.034
Cl 3.732 2.776 0.402
Cl 4.316 0.925 3.902
Cl 11.780 2.776 3.097
Cl 12.364 0.925 6.597
O 0.132 2.776 0.729
O 1.277 2.776 4.753
O 1.497 0.925 2.216
O 6.551 2.776 5.716
O 6.771 0.925 1.254
O 7.916 0.925 4.229
O 8.180 2.776 2.770
O 9.325 2.776 5.746
O 9.546 0.925 1.284
O 14.599 2.776 4.783
O 14.819 0.925 2.246
O 15.964 0.925 6.270
```


[4]
Structure and theoretical powder XRD pattern of CsVP3HO10 (the GGA+U geometry in the Materials Project; Cu Kα (weighted mean of Kα1 and Kα2)).
Lines closer than 0.1° are merged.

Principal peaks in the range 2θ = 10–90°, by angle:
4.304 Å, 20.64 deg, intensity 79
4.251 Å, 20.90 deg, intensity 100
3.533 Å, 25.21 deg, intensity 82
3.517 Å, 25.33 deg, intensity 67
3.308 Å, 26.95 deg, intensity 72
3.089 Å, 28.91 deg, intensity 89
3.029 Å, 29.49 deg, intensity 91
2.875 Å, 31.10 deg, intensity 56
2.793 Å, 32.05 deg, intensity 35
2.045 Å, 44.30 deg, intensity 43

```
32
Lattice="6.158 -4.436 0.000 6.158 4.436 0.000 -3.296 0.000 8.608" Properties=species:S:1:pos:R:3 pbc="T T T"
Cs 3.686 3.868 6.456
Cs 5.334 -3.868 2.152
V 3.079 2.218 0.000
V 1.431 -2.218 4.304
P 1.297 0.535 6.027
P 2.945 -0.535 1.723
P 5.334 1.101 2.152
P 3.686 -1.101 6.456
P 6.075 0.535 6.885
P 7.722 -0.535 2.581
H 1.431 2.218 4.304
H 3.079 -2.218 0.000
O 0.293 1.082 7.024
O 1.989 1.613 5.183
O 2.293 0.578 0.884
O 4.917 1.888 0.933
O 0.646 -0.578 5.188
O 5.750 1.888 3.371
O 1.941 -1.082 2.720
O 4.144 0.123 2.610
O 2.496 -0.123 6.914
O 5.383 1.613 7.728
O 3.636 -1.613 0.879
O 6.523 0.123 1.694
O 4.875 -0.123 5.997
O 7.079 1.082 5.888
O 3.269 -1.888 5.236
O 8.374 0.578 3.420
O 4.102 -1.888 7.675
O 6.726 -0.578 7.724
O 7.031 -1.613 3.424
O 8.727 -1.082 1.584
```


[5]
Structure and theoretical powder XRD pattern of Na3VF6 (the GGA+U geometry in the Materials Project; Cu Kα (weighted mean of Kα1 and Kα2)).
Lines closer than 0.1° are merged.

Principal peaks in the range 2θ = 10–90°, by angle:
4.764 Å, 18.63 deg, intensity 35
4.125 Å, 21.54 deg, intensity 60
2.917 Å, 30.65 deg, intensity 74
2.382 Å, 37.77 deg, intensity 31
2.063 Å, 43.89 deg, intensity 100
1.845 Å, 49.40 deg, intensity 18
1.684 Å, 54.48 deg, intensity 27
1.459 Å, 63.81 deg, intensity 52
1.191 Å, 80.68 deg, intensity 15
1.103 Å, 88.73 deg, intensity 13

```
10
Lattice="0.000 4.125 4.125 4.125 0.000 4.125 4.125 4.125 0.000" Properties=species:S:1:pos:R:3 pbc="T T T"
Na 0.000 0.000 0.000
Na 2.063 2.063 2.063
Na 6.188 6.188 6.188
V 4.125 4.125 4.125
F 4.125 4.125 2.184
F 4.125 2.184 4.125
F 6.067 4.125 4.125
F 2.184 4.125 4.125
F 4.125 6.067 4.125
F 4.125 4.125 6.067
```


[6]
Structure and theoretical powder XRD pattern of Ca3CoO6 (the GGA+U geometry in the Materials Project; Cu Kα (weighted mean of Kα1 and Kα2)).
Lines closer than 0.1° are merged.

Principal peaks in the range 2θ = 10–90°, by angle:
4.578 Å, 19.39 deg, intensity 100
4.559 Å, 19.47 deg, intensity 50
2.890 Å, 30.94 deg, intensity 21
2.880 Å, 31.05 deg, intensity 21
2.874 Å, 31.12 deg, intensity 20
2.555 Å, 35.12 deg, intensity 53
2.548 Å, 35.22 deg, intensity 26
2.027 Å, 44.71 deg, intensity 22
1.912 Å, 47.55 deg, intensity 30
1.907 Å, 47.69 deg, intensity 44

```
20
Lattice="6.351 0.000 0.000 0.208 6.349 0.000 0.208 0.235 6.381" Properties=species:S:1:pos:R:3 pbc="T T T"
Ca 0.000 0.000 0.000
Ca 1.203 3.382 5.434
Ca 2.377 1.968 2.262
Ca 3.375 5.087 1.313
Ca 4.385 4.260 4.503
Ca 5.554 1.060 3.213
Co 1.873 5.852 3.847
Co 4.834 2.541 0.671
O 0.276 2.148 1.159
O 1.371 6.241 2.050
O 1.327 1.262 4.286
O 2.238 4.116 3.367
O 2.430 5.487 5.585
O 3.109 2.971 0.197
O 3.669 6.332 3.428
O 4.343 0.768 1.132
O 4.487 3.049 2.432
O 5.425 2.234 5.316
O 5.414 4.253 0.262
O 6.476 5.391 4.308
```